Record 1
Calculated X-ray diffraction stick pattern of TaCu3Se3S for Cu Kα X-rays, from the GGA-PBE geometry in the Materials Project.

Crystal structure
Unit cell a=5.667 b=5.667 c=5.667 alpha=89.40 beta=89.40 gamma=89.40
Positions (direct):
Ta 0.000 0.000 0.000
Cu 0.007 0.007 0.498
Cu 0.007 0.498 0.007
Cu 0.498 0.007 0.007
Se 0.256 0.751 0.751
Se 0.751 0.256 0.751
Se 0.751 0.751 0.256
S 0.234 0.234 0.234

Main lines, sorted by position (10 to 90 degrees two-theta):
- 15.64 deg, I 100
- 22.07 deg, I 17
- 26.97 deg, I 12
- 27.36 deg, I 31
- 35.27 deg, I 25
- 35.58 deg, I 30
- 45.02 deg, I 46
- 45.52 deg, I 45
- 65.95 deg, I 14
- 83.78 deg, I 15

---

Record 2
Calculated X-ray diffraction stick pattern of K2NaS2ClO6 for Cu Kα X-rays, from the GGA-PBE geometry in the Materials Project.

Crystal structure
Unit cell a=12.322 b=12.322 c=5.671 alpha=90.00 beta=90.00 gamma=90.00
Positions (direct):
K 0.000 0.195 0.017
K 0.000 0.805 0.983
K 0.195 0.500 0.017
K 0.305 0.000 0.017
K 0.500 0.305 0.017
K 0.500 0.695 0.983
K 0.695 0.000 0.983
K 0.805 0.500 0.983
Na 0.250 0.250 0.447
Na 0.250 0.750 0.500
Na 0.750 0.250 0.500
Na 0.750 0.750 0.553
S 0.009 0.588 0.476
S 0.088 0.991 0.524
S 0.412 0.509 0.524
S 0.491 0.912 0.476
S 0.509 0.088 0.524
S 0.588 0.491 0.476
S 0.912 0.009 0.476
S 0.991 0.412 0.524
Cl 0.250 0.250 0.938
Cl 0.250 0.750 0.000
Cl 0.750 0.250 0.000
Cl 0.750 0.750 0.062
O 0.001 0.603 0.219
O 0.080 0.363 0.389
O 0.103 0.999 0.781
O 0.110 0.882 0.428
O 0.118 0.610 0.572
O 0.137 0.080 0.389
O 0.363 0.420 0.389
O 0.382 0.890 0.572
O 0.390 0.618 0.428
O 0.397 0.501 0.781
O 0.420 0.137 0.389
O 0.499 0.897 0.219
O 0.501 0.103 0.781
O 0.580 0.863 0.611
O 0.603 0.499 0.219
O 0.610 0.382 0.572
O 0.618 0.110 0.428
O 0.637 0.580 0.611
O 0.863 0.920 0.611
O 0.882 0.390 0.428
O 0.890 0.118 0.572
O 0.897 0.001 0.219
O 0.920 0.637 0.611
O 0.999 0.397 0.781

Main lines, sorted by position (10 to 90 degrees two-theta):
- 14.38 deg, I 19
- 21.29 deg, I 45
- 25.79 deg, I 50
- 27.78 deg, I 100
- 31.55 deg, I 44
- 32.49 deg, I 61
- 33.09 deg, I 37
- 37.21 deg, I 37
- 42.79 deg, I 29
- 45.93 deg, I 18